For PrNd2Tm12, a DFT-relaxed cell (GGA-PBE, Alexandria) gives the simulated powder diffractogram in this record (copper Kα).
Lines closer than 0.1° are merged.

Cell lengths 3.522, 5.546, 24.290 Å; angles 90.00, 94.02, 90.00 degrees
Sites, in units of the cell vectors:
1 Pr 0.000 0.000 0.000
2 Nd 0.362 0.000 0.726
3 Nd 0.638 0.000 0.274
4 Tm 0.071 0.000 0.137
5 Tm 0.101 0.500 0.202
6 Tm 0.168 0.500 0.333
7 Tm 0.217 0.000 0.430
8 Tm 0.276 0.500 0.554
9 Tm 0.461 0.500 0.924
10 Tm 0.539 0.500 0.076
11 Tm 0.724 0.500 0.446
12 Tm 0.783 0.000 0.570
13 Tm 0.832 0.500 0.667
14 Tm 0.899 0.500 0.798
15 Tm 0.929 0.000 0.863

Principal peaks in the range 10 to 90 degrees two-theta, in order of rising 2θ:
index	2θ (°)	I/Imax
0 1 7	30.44	99
1 1 -2	30.57	50
1 1 -3	31.47	60
0 2 0	32.28	100
1 0 5	32.55	52
1 1 3	32.78	98